Structure and calculated powder diffraction line list of Hf5Ge4 (the GGA-PBE geometry in OQMD; Cu Kα, 1.54184 Å).
Neutral-atom scattering factors, no anomalous dispersion.

Atomic structure:
a = 7.0429 Å, b = 13.4701 Å, c = 7.1257 Å
α = 90.00°, β = 90.00°, γ = 90.00°
Space group Pnma (No. 62)
Symmetry-distinct sites (fractional):
Hf  0.0143  0.0946  0.1769 x8
Hf  0.1456  0.6239  0.3329 x8
Hf  0.1812  0.2500  0.4979 x4
Ge  0.0531  0.2500  0.8887 x4
Ge  0.1790  0.7500  0.6464 x4
Ge  0.1963  0.0406  0.5349 x8

Most intense lines, 2θ = 10–80°, sorted by position:
28.28°, d 3.155, I 25, hkl 2 0 1; 34.57°, d 2.595, I 100, hkl 1 3 2; 34.74°, d 2.583, I 74, hkl 2 3 1; 36.72°, d 2.447, I 51, hkl 0 4 2; 37.92°, d 2.373, I 30, hkl 1 5 1; 39.11°, d 2.303, I 46, hkl 2 4 1; 40.17°, d 2.245, I 26, hkl 0 6 0; 40.45°, d 2.230, I 55, hkl 3 0 1; 40.64°, d 2.220, I 53, hkl 1 1 3; 62.04°, d 1.496, I 33, hkl 3 4 3